Diffraction record for Li4Fe3Cu2Sn3O16. The powder diffraction line list is simulated, not measured: it uses a cell relaxed with GGA+U and Cu Kα, 1.54184 Å.
Intensities are scaled so that the largest is 100.

Crystal structure
a = 5.9547 Å, b = 6.1667 Å, c = 9.7473 Å
α = 93.38°, β = 90.74°, γ = 118.79°
Element x y z (fractional)
Li (0.0000, 0.0000, 0.0000)
Li (0.0555, 0.0745, 0.5023)
Li (0.4213, 0.7313, 0.4051)
Li (0.7747, 0.4293, 0.9166)
Fe (0.7644, 0.9395, 0.7198)
Fe (0.8855, 0.2048, 0.2260)
Fe (0.8993, 0.6963, 0.2297)
Cu (0.4186, 0.7566, 0.9999)
Cu (0.7581, 0.4140, 0.4948)
Sn (0.2690, 0.4416, 0.7250)
Sn (0.2789, 0.9443, 0.7231)
Sn (0.3966, 0.2168, 0.2240)
O (0.0358, 0.5196, 0.3470)
O (0.0468, 0.0395, 0.3186)
O (0.0965, 0.1126, 0.8270)
O (0.1469, 0.6421, 0.8605)
O (0.1681, 0.3218, 0.1165)
O (0.2223, 0.8701, 0.1096)
O (0.4112, 0.2521, 0.6014)
O (0.4355, 0.7566, 0.6115)
O (0.5806, 0.6317, 0.8708)
O (0.5973, 0.5403, 0.3542)
O (0.6049, 0.1017, 0.3507)
O (0.6166, 0.0930, 0.8342)
O (0.7104, 0.8738, 0.1231)
O (0.7345, 0.3685, 0.1179)
O (0.9235, 0.7727, 0.6132)
O (0.9327, 0.2662, 0.6056)

Main lines, low angle first (2θ = 5–70°):
Position (°2θ), I_rel, (hkl)
18.25, 100.0, 0 0 2
18.93, 25.9, 1 0 -1
25.62, 17.5, 1 0 2
33.85, 19.5, 0 2 -1
34.41, 21.9, 2 0 0
35.20, 37.6, 0 2 1
35.43, 19.5, 2 -2 1
36.97, 19.8, 0 0 4
41.98, 17.5, 0 2 -3
60.18, 23.7, 2 -4 0